The following is a computed powder X-ray diffraction pattern of NaLuTiO4. It was derived from a structure optimized by DFT (GGA-PBE), using a wavelength of 1.5418 Å.
Lines closer than 0.1° are merged.

Top 12 peaks for 10° ≤ 2θ ≤ 90°, by angle:
d = 3.614 Å, rel. 14, hkl 1 1 1
d = 3.216 Å, rel. 85, hkl 2 1 1
d = 2.770 Å, rel. 100, hkl 3 1 1
d = 2.714 Å, rel. 29, hkl 0 2 0
d = 2.639 Å, rel. 33, hkl 0 0 2
d = 2.580 Å, rel. 12, hkl 1 0 2
d = 2.034 Å, rel. 12, hkl 6 0 0
d = 1.892 Å, rel. 35, hkl 0 2 2
d = 1.791 Å, rel. 22, hkl 5 0 2
d = 1.614 Å, rel. 12, hkl 2 1 3
d = 1.578 Å, rel. 18, hkl 3 3 1
d = 1.548 Å, rel. 18, hkl 3 1 3

Structural model:
```
NaLuTiO4
1.0
12.2011 0.0000 0.0000
0.0000 5.4279 0.0000
0.0000 0.0000 5.2783
Na Lu Ti O
4 4 4 16
Direct
0.0874 0.0046 0.2500
0.0874 0.4954 0.7500
0.9126 0.5046 0.2500
0.9126 0.9954 0.7500
0.3953 0.0295 0.2500
0.3953 0.4705 0.7500
0.6047 0.5295 0.2500
0.6047 0.9705 0.7500
0.2434 0.5103 0.2500
0.2434 0.9897 0.7500
0.7566 0.0103 0.2500
0.7566 0.4897 0.7500
0.1006 0.5563 0.2500
0.1006 0.9437 0.7500
0.2594 0.2500 0.0000
0.2594 0.2500 0.5000
0.2999 0.7500 0.0000
0.2999 0.7500 0.5000
0.4404 0.0862 0.7500
0.4404 0.4138 0.2500
0.5596 0.5862 0.7500
0.5596 0.9138 0.2500
0.7001 0.2500 0.0000
0.7001 0.2500 0.5000
0.7406 0.7500 0.0000
0.7406 0.7500 0.5000
0.8994 0.0563 0.2500
0.8994 0.4437 0.7500
```